Record 1
Starting from a structure optimized by DFT (PBE), the powder XRD pattern of Sr4LiTc3O12 was calculated for λ = 1.5418 Å (Cu Kα).
Peak positions follow from Bragg's law for the DFT cell and can differ from measured ones.

Peak list (6 most intense, 2θ = 10–90°, low angle first)
d (Å), two_theta, I (rel.), hkl
5.615, 15.78, 16, 1 1 0
2.807, 31.88, 100, 2 2 0
1.985, 45.70, 36, 4 0 0
1.621, 56.80, 39, 4 2 2
1.404, 66.63, 22, 4 4 0
1.255, 75.76, 17, 6 2 0

Atomic structure:
Cell lengths 7.9404, 7.9404, 7.9404 Å; angles 90.00, 90.00, 90.00 degrees
Space group Im-3m (No. 229)
Inequivalent atoms, fractional coordinates:
Sr 0.2500 0.2500 0.2500 [8 per cell]
Li 0.0000 0.0000 0.0000 [2 per cell]
Tc 0.0000 0.0000 0.5000 [6 per cell]
O 0.0000 0.0000 0.2607 [12 per cell]
O 0.0000 0.2500 0.5000 [12 per cell]

---

Record 2
Starting from a structure optimized by DFT (PBE), the powder XRD pattern of BaPaSe3 was calculated for λ = 1.5418 Å (Cu Kα).
Peak positions follow from Bragg's law for the DFT cell and can differ from measured ones.

Peak list (6 most intense, 2θ = 10–90°, low angle first)
d (Å), two_theta, I (rel.), hkl
7.668, 11.54, 57, 1 0 0
5.218, 16.99, 70, 1 0 -2
2.775, 32.26, 62, 1 0 -4
2.761, 32.43, 77, 2 2 0
2.733, 32.77, 100, 1 2 2
1.957, 46.40, 57, 3 2 -4

Atomic structure:
Cell lengths 8.1521, 7.9581, 11.0992 Å; angles 90.00, 109.85, 90.00 degrees
Space group P2_1/c (No. 14)
Inequivalent atoms, fractional coordinates:
Ba 0.1052 0.2499 0.1515 [4 per cell]
Pa 0.4816 0.7502 0.4954 [4 per cell]
Se 0.2273 0.0176 0.4319 [4 per cell]
Se 0.2275 0.0175 0.9320 [4 per cell]
Se 0.4674 0.7493 0.2418 [4 per cell]

---

Record 3
Starting from a structure optimized by DFT (PBE), the powder XRD pattern of CaDyPd6 was calculated for λ = 1.5418 Å (Cu Kα).
Peak positions follow from Bragg's law for the DFT cell and can differ from measured ones.

Peak list (6 most intense, 2θ = 10–90°, low angle first)
d (Å), two_theta, I (rel.), hkl
2.554, 35.14, 26, 2 0 0
2.349, 38.32, 25, 0 0 2
2.244, 40.19, 100, 2 0 1
1.474, 63.05, 17, 2 2 0
1.335, 70.55, 18, 2 0 3
1.249, 76.24, 19, 2 2 2

Atomic structure:
Cell lengths 5.8978, 5.8978, 4.6977 Å; angles 90.00, 90.00, 120.00 degrees
Space group P-6m2 (No. 187)
Inequivalent atoms, fractional coordinates:
Ca 0.0000 0.0000 0.0000 [1 per cell]
Dy 0.3333 0.6667 0.5000 [1 per cell]
Pd 0.3447 0.1723 0.5000 [3 per cell]
Pd 0.5045 0.0090 0.0000 [3 per cell]

---

Record 4
Starting from a structure optimized by DFT (PBE), the powder XRD pattern of Zr8As5 was calculated for λ = 1.5418 Å (Cu Kα).
Peak positions follow from Bragg's law for the DFT cell and can differ from measured ones.

Peak list (6 most intense, 2θ = 10–90°, low angle first)
d (Å), two_theta, I (rel.), hkl
2.589, 34.65, 36, 1 0 8
2.549, 35.21, 100, 1 2 6
2.503, 35.88, 49, 1 3 1
2.304, 39.11, 50, 1 3 5
2.223, 40.58, 41, 1 1 10
1.869, 48.73, 45, 2 0 0

Atomic structure:
Cell lengths 3.7376, 10.1840, 28.7087 Å; angles 90.00, 90.00, 90.00 degrees
Space group Pmc2_1 (No. 26)
Inequivalent atoms, fractional coordinates:
Zr 0.0000 0.0051 0.0186 [2 per cell]
Zr 0.0000 0.1692 0.9061 [2 per cell]
Zr 0.0000 0.2479 0.7357 [2 per cell]
Zr 0.0000 0.2595 0.1784 [2 per cell]
Zr 0.0000 0.3344 0.5645 [2 per cell]
Zr 0.0000 0.4920 0.4511 [2 per cell]
Zr 0.5000 0.0255 0.2442 [2 per cell]
Zr 0.5000 0.0794 0.1162 [2 per cell]
Zr 0.5000 0.0843 0.3621 [2 per cell]
Zr 0.5000 0.2366 0.6534 [2 per cell]
Zr 0.5000 0.2408 0.4705 [2 per cell]
Zr 0.5000 0.2594 0.0000 [2 per cell]
Zr 0.5000 0.2638 0.8175 [2 per cell]
Zr 0.5000 0.4166 0.3525 [2 per cell]
Zr 0.5000 0.4185 0.1078 [2 per cell]
Zr 0.5000 0.4814 0.2268 [2 per cell]
As 0.0000 0.0301 0.6760 [2 per cell]
As 0.0000 0.0628 0.8127 [2 per cell]
As 0.0000 0.2357 0.0734 [2 per cell]
As 0.0000 0.2634 0.3980 [2 per cell]
As 0.0000 0.4409 0.6591 [2 per cell]
As 0.0000 0.4680 0.7952 [2 per cell]
As 0.5000 0.0181 0.9491 [2 per cell]
As 0.5000 0.1416 0.5640 [2 per cell]
As 0.5000 0.3633 0.9055 [2 per cell]
As 0.5000 0.4811 0.5199 [2 per cell]

---

Record 5
Starting from a structure optimized by DFT (PBE), the powder XRD pattern of Dy3InPd was calculated for λ = 1.5418 Å (Cu Kα).
Peak positions follow from Bragg's law for the DFT cell and can differ from measured ones.

Peak list (6 most intense, 2θ = 10–90°, low angle first)
d (Å), two_theta, I (rel.), hkl
3.626, 24.55, 37, 3 1 -1
2.771, 32.30, 57, 3 1 2
2.684, 33.38, 100, 4 2 1
2.637, 34.00, 70, 0 4 1
2.489, 36.08, 30, 4 0 -2
2.271, 39.69, 46, 0 2 3

Atomic structure:
Cell lengths 13.3950, 11.2777, 7.4440 Å; angles 90.00, 90.01, 90.00 degrees
Space group C2/c (No. 15)
Inequivalent atoms, fractional coordinates:
Dy 0.1102 0.0812 0.4041 [8 per cell]
Dy 0.1106 0.4191 0.5959 [8 per cell]
Dy 0.2499 0.1844 0.7831 [8 per cell]
In 0.0000 0.1822 0.7500 [4 per cell]
In 0.0000 0.3183 0.2500 [4 per cell]
Pd 0.2497 0.0597 0.1150 [8 per cell]

---

Record 6
Starting from a structure optimized by DFT (PBE), the powder XRD pattern of Pm8Sn5Sb was calculated for λ = 1.5418 Å (Cu Kα).
Peak positions follow from Bragg's law for the DFT cell and can differ from measured ones.

Peak list (6 most intense, 2θ = 10–90°, low angle first)
d (Å), two_theta, I (rel.), hkl
3.011, 29.67, 100, 1 3 0
2.545, 35.27, 65, 2 1 3
1.944, 46.74, 17, 2 2 4
1.867, 48.77, 24, 3 4 1
1.545, 59.88, 26, 6 1 1
1.296, 73.02, 17, 1 2 7

Atomic structure:
Cell lengths 9.5236, 9.5236, 9.5178 Å; angles 90.00, 90.00, 90.00 degrees
Space group I-4 (No. 82)
Inequivalent atoms, fractional coordinates:
Pm 0.0704 0.1801 0.1944 [8 per cell]
Pm 0.0708 0.3200 0.5547 [8 per cell]
Sn 0.0000 0.5000 0.2500 [2 per cell]
Sn 0.1251 0.2504 0.8746 [8 per cell]
Sb 0.0000 0.0000 0.5000 [2 per cell]